1.
Structure and calculated powder X-ray diffraction pattern of AlPt8Rh2 (a cell relaxed with GGA-PBE; Cu Kα, 1.54184 Å).
Kinematic intensities with the Lorentz-polarization factor, no thermal factor.

Crystal structure
```
11
Lattice="-1.939 3.889 5.800 1.939 -3.889 5.800 1.939 3.889 -5.800" Properties=species:S:1:pos:R:3 pbc="T T T"
Al 0.000 0.000 0.000
Pt 1.939 -1.892 3.908
Pt 1.939 0.000 1.824
Pt 1.939 2.084 0.000
Pt 0.000 1.998 1.892
Pt 1.939 1.892 3.908
Pt 0.000 1.805 5.800
Pt 0.000 3.889 3.976
Pt 0.000 5.781 1.892
Rh 0.000 0.000 3.891
Rh 0.000 0.000 7.709
```

Principal peaks in the range 5 to 70 degrees two-theta, by intensity:
- 40.28°, rel. 100.0
- 46.86°, rel. 16.7
- 47.00°, rel. 16.0
- 46.71°, rel. 15.9
- 68.55°, rel. 10.4
- 68.32°, rel. 10.3


2.
Structure and calculated powder X-ray diffraction pattern of Li2TaSO8 (a cell relaxed with GGA-PBE; Cu Kα, 1.54184 Å).
Kinematic intensities with the Lorentz-polarization factor, no thermal factor.

Crystal structure
```
12
Lattice="5.583 0.000 0.000 -2.792 4.835 0.000 0.000 0.000 5.112" Properties=species:S:1:pos:R:3 pbc="T T T"
Li 0.000 3.223 0.385
Li 2.792 1.612 4.727
Ta 0.000 0.000 2.556
S 0.000 0.000 0.000
O 0.000 1.356 1.034
O -1.617 4.157 1.034
O 1.175 0.678 4.077
O 0.000 3.223 3.461
O 2.792 1.612 1.650
O 1.617 4.157 1.034
O 4.409 0.678 4.077
O 2.792 3.479 4.077
```

Principal peaks in the range 5 to 70 degrees two-theta, by intensity:
- 18.35°, rel. 100.0
- 25.36°, rel. 28.7
- 32.06°, rel. 25.4
- 39.90°, rel. 19.7
- 36.68°, rel. 16.8
- 41.31°, rel. 15.8